Cs2ZrCl6O: calculated powder XRD pattern (Cu Ka), based on DFT lattice parameters and positions (GGA-PBE).
Peak positions follow from Bragg's law for the DFT cell and can differ from measured ones.

Most intense lines, 10° ≤ 2θ ≤ 80°, low angle first:
2θ 14.05, I 388
2θ 22.72, I 1000
2θ 23.68, I 436
2θ 28.32, I 807
2θ 30.91, I 391
2θ 33.74, I 655
2θ 41.06, I 408
2θ 46.41, I 459
2θ 48.46, I 215
2θ 58.59, I 217

Crystal structure
a = 7.8553 Å, b = 7.8553 Å, c = 7.8553 Å
α = 122.85°, β = 122.85°, γ = 85.13°
Sites, in units of the cell vectors:
Cs1 0.2500 0.7500 0.5000
Cs2 0.7500 0.2500 0.5000
Zr1 0.0000 0.0000 0.0000
Cl1 0.2154 0.2154 0.0000
Cl2 0.2343 0.2343 0.4687
Cl3 0.2343 0.7657 0.0000
Cl4 0.7657 0.2343 0.0000
Cl5 0.7657 0.7657 0.5313
Cl6 0.7846 0.7846 0.0000
O1 0.5000 0.5000 0.0000

***

Cs3PCl7: calculated powder XRD pattern (Cu Ka), based on DFT lattice parameters and positions (GGA-PBE).
Peak positions follow from Bragg's law for the DFT cell and can differ from measured ones.

Most intense lines, 10° ≤ 2θ ≤ 80°, low angle first:
2θ 19.57, I 305
2θ 21.33, I 860
2θ 23.08, I 404
2θ 24.36, I 351
2θ 24.83, I 452
2θ 27.82, I 761
2θ 31.44, I 1000
2θ 35.07, I 340
2θ 36.53, I 289
2θ 37.31, I 300

Crystal structure
a = 10.1414 Å, b = 10.1414 Å, c = 7.3068 Å
α = 90.00°, β = 90.00°, γ = 90.00°
Sites, in units of the cell vectors:
Cs1 0.0000 0.0000 0.0000
Cs2 0.1800 0.3200 0.5000
Cs3 0.3200 0.8200 0.5000
Cs4 0.5000 0.5000 0.0000
Cs5 0.6800 0.1800 0.5000
Cs6 0.8200 0.6800 0.5000
P1 0.0000 0.5000 0.0000
P2 0.5000 0.0000 0.0000
Cl1 0.0000 0.0000 0.5000
Cl2 0.1131 0.6131 0.2235
Cl3 0.1131 0.6131 0.7765
Cl4 0.1599 0.3401 0.0000
Cl5 0.3401 0.8401 0.0000
Cl6 0.3869 0.1131 0.2235
Cl7 0.3869 0.1131 0.7765
Cl8 0.5000 0.5000 0.5000
Cl9 0.6131 0.8869 0.2235
Cl10 0.6131 0.8869 0.7765
Cl11 0.6599 0.1599 0.0000
Cl12 0.8401 0.6599 0.0000
Cl13 0.8869 0.3869 0.2235
Cl14 0.8869 0.3869 0.7765

***

Cs4PCl2: calculated powder XRD pattern (Cu Ka), based on DFT lattice parameters and positions (GGA-PBE).
Peak positions follow from Bragg's law for the DFT cell and can differ from measured ones.

Most intense lines, 10° ≤ 2θ ≤ 80°, low angle first:
2θ 21.33, I 1000
2θ 26.99, I 347
2θ 27.14, I 634
2θ 27.34, I 261
2θ 28.51, I 202
2θ 38.75, I 237
2θ 38.90, I 196
2θ 39.77, I 321
2θ 44.66, I 281
2θ 48.81, I 175

Crystal structure
a = 6.5720 Å, b = 6.5720 Å, c = 18.7858 Å
α = 90.00°, β = 90.00°, γ = 90.00°
Sites, in units of the cell vectors:
Cs1 0.0000 0.0000 0.1835
Cs2 0.0000 0.0000 0.8165
Cs3 0.0000 0.5000 0.0000
Cs4 0.0000 0.5000 0.5000
Cs5 0.5000 0.0000 0.0000
Cs6 0.5000 0.0000 0.5000
Cs7 0.5000 0.5000 0.3165
Cs8 0.5000 0.5000 0.6835
P1 0.0000 0.0000 0.0000
P2 0.5000 0.5000 0.5000
Cl1 0.0000 0.0000 0.3629
Cl2 0.0000 0.0000 0.6371
Cl3 0.5000 0.5000 0.1371
Cl4 0.5000 0.5000 0.8629

***

CsPCl4: calculated powder XRD pattern (Cu Ka), based on DFT lattice parameters and positions (GGA-PBE).
Peak positions follow from Bragg's law for the DFT cell and can differ from measured ones.

Most intense lines, 10° ≤ 2θ ≤ 80°, low angle first:
2θ 17.41, I 709
2θ 20.03, I 728
2θ 22.20, I 558
2θ 22.73, I 739
2θ 23.55, I 1000
2θ 27.85, I 917
2θ 28.58, I 481
2θ 29.10, I 564
2θ 29.99, I 518
2θ 37.76, I 370

Crystal structure
a = 6.4712 Å, b = 6.4746 Å, c = 12.7256 Å
α = 75.44°, β = 75.61°, γ = 82.04°
Sites, in units of the cell vectors:
Cs1 0.1914 0.1908 0.0955
Cs2 0.8086 0.8092 0.9045
P1 0.4623 0.4617 0.2536
P2 0.5377 0.5383 0.7464
Cl1 0.2233 0.5976 0.3651
Cl2 0.2678 0.7319 0.0002
Cl3 0.3150 0.3138 0.7891
Cl4 0.3997 0.7770 0.6350
Cl5 0.6003 0.2230 0.3650
Cl6 0.6850 0.6862 0.2109
Cl7 0.7322 0.2681 0.9998
Cl8 0.7767 0.4024 0.6349